1.
This entry pairs a crystal structure of ZrCd with its theoretical XRD peak list. Radiation: Cu Ka. Structure: a DFT-relaxed cell (GGA-PBE, OQMD).
Lines closer than 0.1° are merged.

```
ZrCd
1.0
5.596 0.000 0.000
0.000 5.073 0.000
0.000 0.000 6.047
Zr Cd
4 4
Cartesian
0.712 1.268 0.810
2.086 3.805 3.834
3.510 1.268 2.214
4.884 3.805 5.237
0.534 1.268 3.824
2.264 3.805 0.800
3.332 1.268 5.247
5.062 3.805 2.223
```

Top 6 peaks for 10° ≤ 2θ ≤ 80°, by intensity:
38.20 deg, rel. 100, hkl 1 1 2; 36.68 deg, rel. 89, hkl 2 1 0; 35.39 deg, rel. 53, hkl 0 2 0; 33.69 deg, rel. 48, hkl 1 0 2; 49.66 deg, rel. 31, hkl 1 2 2; 73.63 deg, rel. 21, hkl 2 1 4

=====

2.
This entry pairs a crystal structure of ZrCd with its theoretical XRD peak list. Radiation: Cu Ka. Structure: a DFT-relaxed cell (GGA-PBE, OQMD).
Lines closer than 0.1° are merged.

```
ZrCd
1.0
6.973 0.000 0.000
0.000 15.116 0.000
0.000 0.000 5.004
Zr Cd
12 12
Cartesian
0.847 2.566 1.251
0.847 4.992 3.753
2.593 10.068 1.251
2.593 12.606 3.753
2.629 2.664 3.753
2.629 4.894 1.251
4.344 10.222 3.753
4.344 12.452 1.251
4.381 2.510 1.251
4.381 5.048 3.753
6.126 10.124 1.251
6.126 12.550 3.753
0.831 0.123 3.753
0.831 7.435 1.251
0.911 10.072 3.753
0.911 12.602 1.251
2.585 15.112 1.251
2.585 7.562 3.753
4.389 0.004 3.753
4.389 7.554 1.251
6.063 2.514 3.753
6.063 5.044 1.251
6.142 7.681 3.753
6.142 14.993 1.251
```

Top 6 peaks for 10° ≤ 2θ ≤ 80°, by intensity:
36.11 deg, rel. 100, hkl 2 3 1; 35.89 deg, rel. 26, hkl 0 0 2; 35.64 deg, rel. 25, hkl 0 6 0; 64.65 deg, rel. 17, hkl 2 3 3; 51.48 deg, rel. 17, hkl 0 6 2; 64.32 deg, rel. 16, hkl 2 9 1

=====

3.
This entry pairs a crystal structure of Zr4Cd with its theoretical XRD peak list. Radiation: Cu Ka. Structure: a DFT-relaxed cell (GGA-PBE, OQMD).
Lines closer than 0.1° are merged.

```
Zr4Cd
1.0
5.662 0.000 0.000
0.000 5.368 0.000
-3.045 0.000 7.406
Zr Cd
8 2
Cartesian
-0.204 0.362 1.439
-1.726 2.322 5.142
1.435 2.790 0.705
-0.087 5.263 4.409
2.705 0.106 2.998
1.182 2.578 6.701
4.344 3.046 2.265
2.821 5.006 5.968
2.831 0.000 0.000
1.309 2.684 3.703
```

Top 6 peaks for 10° ≤ 2θ ≤ 80°, by intensity:
35.87 deg, rel. 100, hkl 2 1 -1; 37.79 deg, rel. 90, hkl 1 1 -3; 34.58 deg, rel. 61, hkl 1 0 2; 33.38 deg, rel. 51, hkl 0 2 0; 48.82 deg, rel. 33, hkl 1 2 2; 61.50 deg, rel. 19, hkl 3 1 1